Theoretical PXRD pattern
Compound: Dy3InS6
Radiation: CuKα
Structure: the GGA-PBE geometry in the Materials Project
Intensities are scaled so that the largest is 100.

Atomic structure:
```
data_Dy3InS6
_chemical_formula_sum 'Dy12 In4 S24'
_cell_length_a 13.4282
_cell_length_b 16.6434
_cell_length_c 3.8559
_cell_angle_alpha 90.00
_cell_angle_beta 90.00
_cell_angle_gamma 90.00
_space_group_name_H-M_alt 'P 21 21 2'
_space_group_IT_number 18
_space_group_name_Hall 'P 2 2ab'
loop_
_atom_site_label
_atom_site_type_symbol
_atom_site_fract_x
_atom_site_fract_y
_atom_site_fract_z
Dy1 Dy 0.0366 0.2233 0.2459
Dy2 Dy 0.1910 0.6435 0.2473
Dy3 Dy 0.2464 0.3898 0.2367
In1 In 0.0000 0.0000 0.8920
In2 In 0.0000 0.5000 0.7454
S1 S 0.0208 0.3941 0.2459
S2 S 0.1034 0.9066 0.2687
S3 S 0.1081 0.1156 0.7476
S4 S 0.1147 0.7437 0.7486
S5 S 0.1789 0.2831 0.7411
S6 S 0.1933 0.5194 0.7460
```

The 10 most intense peaks (2θ from 10° to 80°), sorted by position:
2θ 25.2, I = 100.0, (2 4 0)
2θ 26.3, I = 48.6, (1 2 1)
2θ 26.6, I = 27.2, (4 0 0)
2θ 27.2, I = 34.9, (2 1 1)
2θ 31.2, I = 36.2, (2 3 1)
2θ 34.7, I = 42.4, (3 3 1)
2θ 35.6, I = 42.5, (0 5 1)
2θ 41.3, I = 30.9, (5 1 1)
2θ 45.0, I = 36.5, (4 5 1)
2θ 47.1, I = 40.0, (0 0 2)